[1]
Diffraction record for SrLiGaAg6. The powder diffraction line list is calculated, not measured: it uses a structure optimized by DFT (PBE) and Cu Kα.
No peak broadening, texture or thermal motion is included.

Atomic structure:
```
18
Lattice="-3.673 4.687 5.599 3.673 -4.687 5.599 3.673 4.687 -5.599" Properties=species:S:1:pos:R:3 pbc="T T T"
Sr 0.000 2.343 2.311
Sr 3.673 2.343 3.288
Li 1.837 2.343 -2.800
Li 1.837 -2.343 2.800
Ga 0.000 0.000 0.000
Ga 0.000 4.687 0.000
Ag 2.268 -0.068 1.425
Ag 5.079 -0.068 1.425
Ag 3.673 -2.343 4.608
Ag 3.673 2.343 -0.081
Ag 2.268 4.618 -1.425
Ag 1.405 -0.068 4.174
Ag 2.268 4.755 1.425
Ag 1.405 0.068 7.024
Ag 0.000 2.343 5.680
Ag 0.000 7.030 0.991
Ag -1.405 4.755 4.174
Ag 1.405 4.755 4.174
```

Main lines, in order of rising 2θ (5 to 70 degrees two-theta):
two_theta, I_rel
30.93, 100.0
33.01, 75.4
35.61, 23.4
37.42, 39.3
37.59, 27.4
38.41, 59.7
40.51, 34.3
42.42, 30.7
45.08, 22.9
57.06, 23.4

[2]
Diffraction record for LiTmGaAg. The powder diffraction line list is calculated, not measured: it uses a structure optimized by DFT (PBE) and Cu Kα.
No peak broadening, texture or thermal motion is included.

Atomic structure:
```
16
Lattice="6.789 0.000 0.000 0.000 6.789 0.000 0.000 0.000 6.789" Properties=species:S:1:pos:R:3 pbc="T T T"
Li 0.000 0.000 0.000
Li 0.000 3.395 3.395
Li 3.395 0.000 3.395
Li 3.395 3.395 0.000
Tm 0.000 0.000 3.395
Tm 0.000 3.395 0.000
Tm 3.395 0.000 0.000
Tm 3.395 3.395 3.395
Ga 1.697 1.697 5.092
Ga 1.697 5.092 1.697
Ga 5.092 1.697 1.697
Ga 5.092 5.092 5.092
Ag 1.697 1.697 1.697
Ag 1.697 5.092 5.092
Ag 5.092 1.697 5.092
Ag 5.092 5.092 1.697
```

Main lines, in order of rising 2θ (5 to 70 degrees two-theta):
two_theta, I_rel
22.69, 52.4
37.47, 100.0
44.25, 27.3
54.03, 17.1
59.33, 11.4
67.60, 34.3

[3]
Diffraction record for Mg5GaAg. The powder diffraction line list is calculated, not measured: it uses a structure optimized by DFT (PBE) and Cu Kα.
No peak broadening, texture or thermal motion is included.

Atomic structure:
```
14
Lattice="-3.233 3.233 7.074 3.233 -3.233 7.074 3.233 3.233 -7.074" Properties=species:S:1:pos:R:3 pbc="T T T"
Mg 4.839 1.606 -1.568
Mg 1.606 1.627 -1.568
Mg 0.000 0.000 3.537
Mg 4.839 1.606 1.568
Mg 1.606 1.627 1.568
Mg 1.627 1.606 5.506
Mg -1.606 1.627 5.506
Mg 0.000 0.000 10.611
Mg 1.627 1.606 8.642
Mg -1.606 1.627 8.642
Ga 0.000 0.000 0.000
Ga 0.000 0.000 7.074
Ag 3.233 0.000 3.537
Ag 0.000 3.233 3.537
```

Main lines, in order of rising 2θ (5 to 70 degrees two-theta):
two_theta, I_rel
23.16, 96.2
27.59, 14.2
30.40, 13.2
37.70, 100.0
39.42, 45.8
43.17, 18.3
46.22, 29.7
56.97, 14.9
59.88, 13.2
66.89, 15.2

[4]
Diffraction record for Mg3Ga3Ag2. The powder diffraction line list is calculated, not measured: it uses a structure optimized by DFT (PBE) and Cu Kα.
No peak broadening, texture or thermal motion is included.

Atomic structure:
```
8
Lattice="3.412 1.970 3.945 -3.412 1.970 3.945 0.000 -3.940 3.945" Properties=species:S:1:pos:R:3 pbc="T T T"
Mg -0.989 -2.226 3.945
Mg -1.433 1.970 3.945
Mg 2.423 0.256 3.945
Ga -1.616 0.000 5.917
Ga 0.808 -1.399 5.917
Ga 0.808 1.399 5.917
Ag 0.000 0.000 2.246
Ag 0.000 0.000 9.589
```

Main lines, in order of rising 2θ (5 to 70 degrees two-theta):
two_theta, I_rel
22.54, 85.7
26.12, 32.6
33.91, 58.4
34.76, 100.0
41.12, 61.2
43.30, 64.9
46.05, 53.1
49.33, 17.8
56.66, 44.7
69.80, 18.8

[5]
Diffraction record for Mg3Ga2Ag8. The powder diffraction line list is calculated, not measured: it uses a structure optimized by DFT (PBE) and Cu Kα.
No peak broadening, texture or thermal motion is included.

Atomic structure:
```
13
Lattice="2.748 1.586 9.896 -2.748 1.586 9.896 0.000 -3.173 9.896" Properties=species:S:1:pos:R:3 pbc="T T T"
Mg 0.000 0.000 0.000
Mg 0.000 0.000 5.484
Mg 0.000 0.000 24.205
Ga 0.000 0.000 10.761
Ga 0.000 0.000 18.928
Ag -1.383 -0.798 16.723
Ag 0.000 -1.597 12.966
Ag -1.383 0.798 12.966
Ag 0.000 0.000 8.221
Ag 0.000 0.000 21.468
Ag 1.383 -0.798 16.723
Ag 0.000 1.597 16.723
Ag 1.383 0.798 12.966
```

Main lines, in order of rising 2θ (5 to 70 degrees two-theta):
two_theta, I_rel
17.93, 41.7
28.18, 11.4
33.86, 19.8
38.32, 100.0
39.78, 30.3
42.84, 22.6
43.98, 11.3
45.27, 12.4
62.00, 15.9
68.27, 17.1

[6]
Diffraction record for Mg2Ga3Ag6. The powder diffraction line list is calculated, not measured: it uses a structure optimized by DFT (PBE) and Cu Kα.
No peak broadening, texture or thermal motion is included.

Atomic structure:
```
11
Lattice="5.056 0.000 0.000 -1.859 6.574 0.000 -2.232 -2.775 6.022" Properties=species:S:1:pos:R:3 pbc="T T T"
Mg 0.020 0.619 1.964
Mg 0.946 3.180 4.058
Ga -0.097 3.647 1.244
Ga 2.528 0.000 0.000
Ga 1.063 0.151 4.778
Ag -1.541 -0.961 5.457
Ag -1.507 1.666 4.304
Ag -1.673 4.473 3.320
Ag 2.639 -0.674 2.702
Ag 2.473 2.133 1.718
Ag 2.507 4.760 0.565
```

Main lines, in order of rising 2θ (5 to 70 degrees two-theta):
two_theta, I_rel
19.19, 22.0
23.05, 13.7
35.87, 18.4
37.55, 32.7
37.90, 20.5
38.75, 100.0
39.34, 23.6
40.31, 21.7
41.19, 22.4
41.56, 38.5

[7]
Diffraction record for Mg2Ga2Ag5. The powder diffraction line list is calculated, not measured: it uses a structure optimized by DFT (PBE) and Cu Kα.
No peak broadening, texture or thermal motion is included.

Atomic structure:
```
18
Lattice="6.177 -5.290 0.000 6.177 5.290 0.000 -1.155 0.000 5.090" Properties=species:S:1:pos:R:3 pbc="T T T"
Mg 5.600 3.328 2.545
Mg 8.698 2.110 2.768
Mg 6.177 -3.328 0.000
Mg 9.275 -2.110 0.223
Ga 3.222 1.768 3.114
Ga 7.033 2.162 0.233
Ga 3.800 -1.768 0.569
Ga 6.455 -2.162 2.778
Ag 4.578 4.493 4.937
Ag 1.131 0.489 4.212
Ag 1.709 -0.489 1.667
Ag 4.522 0.892 0.899
Ag 3.944 -0.892 3.445
Ag 6.354 0.651 3.131
Ag 6.931 -0.651 0.586
Ag 9.503 0.810 0.205
Ag 8.925 -0.810 2.750
Ag 5.156 -4.493 2.392
```

Main lines, in order of rising 2θ (5 to 70 degrees two-theta):
two_theta, I_rel
16.76, 47.7
26.36, 54.1
35.27, 16.0
38.32, 75.1
38.69, 58.8
39.77, 100.0
40.61, 70.3
41.06, 40.7
53.90, 14.9
58.85, 19.5

[8]
Diffraction record for Mg4Ga3Ag4. The powder diffraction line list is calculated, not measured: it uses a structure optimized by DFT (PBE) and Cu Kα.
No peak broadening, texture or thermal motion is included.

Atomic structure:
```
11
Lattice="3.120 0.000 0.000 0.003 4.554 0.000 1.138 2.174 14.315" Properties=species:S:1:pos:R:3 pbc="T T T"
Mg 0.712 1.100 5.602
Mg 0.740 3.404 2.063
Mg 3.520 3.324 12.251
Mg 3.548 5.627 8.712
Ga 1.955 5.611 11.369
Ga 2.130 3.364 7.157
Ga 2.305 1.117 2.946
Ag 0.787 1.138 0.463
Ag 1.972 3.340 9.811
Ag 2.289 3.387 4.504
Ag 3.473 5.590 13.852
```

Main lines, in order of rising 2θ (5 to 70 degrees two-theta):
two_theta, I_rel
6.17, 97.5
18.60, 41.8
24.89, 41.9
34.87, 66.7
37.43, 39.3
39.30, 44.1
39.46, 43.7
39.58, 100.0
39.77, 80.5
40.03, 80.6

[9]
Diffraction record for MgGa4Ag7. The powder diffraction line list is calculated, not measured: it uses a structure optimized by DFT (PBE) and Cu Kα.
No peak broadening, texture or thermal motion is included.

Atomic structure:
```
12
Lattice="5.261 -2.562 0.000 5.261 2.562 0.000 -4.882 0.000 8.536" Properties=species:S:1:pos:R:3 pbc="T T T"
Mg 0.000 0.000 0.000
Ga -0.455 0.000 5.863
Ga 3.268 0.000 1.939
Ga 2.370 0.000 6.596
Ga 6.094 0.000 2.673
Ag -1.386 0.000 3.219
Ag -2.284 0.000 7.843
Ag 1.404 0.000 3.865
Ag 5.261 0.000 0.000
Ag 4.235 0.000 4.670
Ag 7.923 0.000 0.693
Ag 7.025 0.000 5.316
```

Main lines, in order of rising 2θ (5 to 70 degrees two-theta):
two_theta, I_rel
20.07, 12.7
25.11, 19.1
35.03, 82.9
36.21, 69.8
40.12, 100.0
42.27, 85.1
51.26, 49.6
66.22, 18.6
66.27, 21.2
67.81, 19.8

[10]
Diffraction record for Mg2Ga9Ag. The powder diffraction line list is calculated, not measured: it uses a structure optimized by DFT (PBE) and Cu Kα.
No peak broadening, texture or thermal motion is included.

Atomic structure:
```
12
Lattice="4.250 0.000 0.000 0.000 4.250 0.000 0.000 0.000 12.369" Properties=species:S:1:pos:R:3 pbc="T T T"
Mg 0.000 0.000 2.071
Mg 0.000 0.000 10.297
Ga 0.000 2.125 0.000
Ga 0.000 2.125 4.165
Ga 0.000 2.125 8.204
Ga 2.125 0.000 0.000
Ga 2.125 0.000 4.165
Ga 2.125 0.000 8.204
Ga 2.125 2.125 2.046
Ga 2.125 2.125 6.184
Ga 2.125 2.125 10.323
Ag 0.000 0.000 6.184
```

Main lines, in order of rising 2θ (5 to 70 degrees two-theta):
two_theta, I_rel
7.15, 13.1
14.32, 3.6
22.12, 4.3
25.43, 2.8
30.62, 1.6
37.02, 100.0
42.55, 33.6
43.92, 15.2
61.74, 10.7
62.80, 20.1

[11]
Diffraction record for Mg2Ga4Ag9. The powder diffraction line list is calculated, not measured: it uses a structure optimized by DFT (PBE) and Cu Kα.
No peak broadening, texture or thermal motion is included.

Atomic structure:
```
15
Lattice="4.597 0.000 0.000 -2.299 3.981 0.000 0.000 0.000 14.639" Properties=species:S:1:pos:R:3 pbc="T T T"
Mg 0.000 2.654 3.933
Mg 2.299 1.327 10.707
Ga 0.000 2.654 9.554
Ga 0.000 2.654 12.692
Ga 2.299 1.327 1.947
Ga 2.299 1.327 5.086
Ag 0.000 0.000 0.000
Ag 0.000 0.000 2.800
Ag 0.000 0.000 5.690
Ag 0.000 0.000 8.949
Ag 0.000 0.000 11.839
Ag 0.000 2.654 1.098
Ag 0.000 2.654 6.802
Ag 2.299 1.327 7.838
Ag 2.299 1.327 13.542
```

Main lines, in order of rising 2θ (5 to 70 degrees two-theta):
two_theta, I_rel
12.09, 12.6
22.33, 6.3
25.47, 6.4
28.94, 7.8
38.15, 100.0
39.19, 97.9
41.16, 3.9
46.66, 3.0
55.85, 31.4
68.26, 13.6

[12]
Diffraction record for Mg10Ga3Ag3. The powder diffraction line list is calculated, not measured: it uses a structure optimized by DFT (PBE) and Cu Kα.
No peak broadening, texture or thermal motion is included.

Atomic structure:
```
16
Lattice="8.119 0.000 0.000 -4.059 7.031 0.000 0.000 0.000 5.678" Properties=species:S:1:pos:R:3 pbc="T T T"
Mg -0.998 1.729 0.000
Mg -3.031 5.249 2.839
Mg 1.997 0.000 0.000
Mg 1.029 1.782 2.839
Mg 0.000 4.687 1.425
Mg 0.000 4.687 4.253
Mg 4.059 2.344 1.425
Mg 4.059 2.344 4.253
Mg 6.061 0.000 2.839
Mg 3.061 5.302 0.000
Ga -1.600 2.772 2.839
Ga 3.200 0.000 2.839
Ga 2.459 4.259 2.839
Ag -2.449 4.241 0.000
Ag 1.611 2.790 0.000
Ag 4.897 0.000 0.000
```

Main lines, in order of rising 2θ (5 to 70 degrees two-theta):
two_theta, I_rel
12.59, 35.8
21.90, 38.6
27.00, 96.1
31.51, 42.4
37.36, 100.0
38.41, 46.2
38.70, 65.2
40.86, 26.4
49.42, 54.3
60.01, 23.6

[13]
Diffraction record for Mg2Ga3Ag4. The powder diffraction line list is calculated, not measured: it uses a structure optimized by DFT (PBE) and Cu Kα.
No peak broadening, texture or thermal motion is included.

Atomic structure:
```
9
Lattice="-1.559 4.547 6.000 1.559 -4.547 6.000 1.559 4.547 -6.000" Properties=species:S:1:pos:R:3 pbc="T T T"
Mg 0.000 0.000 2.367
Mg 0.000 0.000 9.634
Ga 1.559 0.000 0.000
Ga 1.559 0.000 4.759
Ga 0.000 4.547 1.242
Ag 1.559 2.308 -1.667
Ag 1.559 2.308 1.667
Ag 0.000 2.239 4.334
Ag 0.000 2.239 7.667
```

Main lines, in order of rising 2θ (5 to 70 degrees two-theta):
two_theta, I_rel
19.52, 18.0
29.60, 21.7
29.78, 43.7
35.71, 60.9
35.86, 36.1
39.64, 48.1
41.76, 100.0
50.36, 19.1
52.13, 17.0
61.78, 22.5